Simulated X-ray diffraction stick pattern
Compound: MoAsO5
Radiation: λ = 1.5418 Å (Cu Kα)
Structure: the GGA+U geometry in Alexandria
No peak broadening, texture or thermal motion is included.

Largest 8 diffraction maxima, in order of rising 2θ, 10 to 90 degrees two-theta:
2theta  I_rel  hkl
16.16  100  0 1 1
17.55  62  1 1 0
22.75  33  0 0 2
26.40  46  1 0 2
29.07  57  2 1 0
31.29  83  2 1 1
32.65  39  0 2 2
37.40  38  2 2 1

Cell and atoms:
```
MoAsO5
1.0
6.700 0.000 0.000
0.000 7.699 0.000
0.000 0.000 7.817
Mo As O
4 4 20
direct
0.051 0.220 0.481
0.449 0.780 0.981
0.551 0.280 0.519
0.949 0.720 0.019
0.246 0.412 0.867
0.254 0.588 0.367
0.746 0.088 0.133
0.754 0.912 0.633
0.043 0.453 0.371
0.047 0.558 0.837
0.220 0.256 0.007
0.226 0.670 0.146
0.233 0.110 0.376
0.267 0.890 0.876
0.274 0.330 0.646
0.280 0.744 0.507
0.453 0.442 0.337
0.457 0.547 0.871
0.543 0.047 0.629
0.547 0.942 0.163
0.720 0.244 0.993
0.726 0.830 0.854
0.733 0.390 0.624
0.767 0.610 0.124
0.774 0.170 0.354
0.780 0.756 0.493
0.953 0.058 0.663
0.957 0.953 0.129
```